This entry pairs a crystal structure of LiMoIrO6 with its theoretical X-ray diffraction stick pattern. Radiation: a wavelength of 1.5418 Å. Structure: a crystal structure in Alexandria, relaxed with GGA+U.

Peak list (12 most intense, 10° ≤ 2θ ≤ 90°, by angle)
| (hkl) | 2θ (°) | Rel. int. |
| --- | --- | --- |
| 0 0 2 | 19.64 | 37 |
| 1 0 1 | 21.16 | 95 |
| 1 1 0 | 26.59 | 100 |
| 1 1 2 | 33.27 | 35 |
| 1 0 3 | 35.29 | 71 |
| 2 0 0 | 37.96 | 19 |
| 2 0 2 | 43.09 | 15 |
| 2 1 1 | 43.86 | 26 |
| 2 1 3 | 52.79 | 63 |
| 2 2 0 | 54.77 | 18 |
| 3 0 3 | 66.85 | 19 |
| 1 1 6 | 68.19 | 25 |

Cell and atoms:
```
data_LiMoIrO6
_chemical_formula_sum 'Li2 Mo2 Ir2 O12'
_space_group_name_H-M_alt 'P 42 n m'
_space_group_IT_number 102
_cell_length_a 4.7406
_cell_length_b 4.7406
_cell_length_c 9.0424
_cell_angle_alpha 90.00
_cell_angle_beta 90.00
_cell_angle_gamma 90.00
loop_
_space_group_symop_operation_xyz
'x,y,z'
'-y+1/2,x+1/2,z+1/2'
'-x,-y,z'
'y+1/2,-x+1/2,z+1/2'
'-x+1/2,y+1/2,z+1/2'
'y,x,z'
'x+1/2,-y+1/2,z+1/2'
'-y,-x,z'
loop_
_atom_site_label
_atom_site_type_symbol
_atom_site_fract_x
_atom_site_fract_y
_atom_site_fract_z
_atom_site_occupancy
Li1 Li 0.0000 0.0000 0.0000 1
Mo1 Mo 0.0000 0.0000 0.6697 1
Ir1 Ir 0.0000 0.0000 0.3256 1
O1 O 0.1819 0.1819 0.4968 1
O2 O 0.2098 0.2098 0.1763 1
O3 O 0.2116 0.2116 0.8134 1
```